B2Rh4Au: calculated powder X-ray diffraction pattern (Cu Kα, 1.54184 Å), based on a crystal structure in Alexandria, relaxed with PBE.
Peak positions follow from Bragg's law for the DFT cell and can differ from measured ones.

Structural model:
Cell lengths 7.559, 5.413, 7.562 Å; angles 69.00, 41.95, 69.05 degrees
Element x y z (fractional)
B 0.000 0.000 0.250
B 0.000 0.000 0.750
B 0.000 0.500 0.250
B 0.500 0.000 0.250
Rh 0.193 0.799 0.444
Rh 0.194 0.313 0.444
Rh 0.201 0.806 0.937
Rh 0.313 0.194 0.049
Rh 0.686 0.806 0.451
Rh 0.799 0.193 0.564
Rh 0.806 0.201 0.056
Rh 0.806 0.686 0.057
Au 0.375 0.375 0.625
Au 0.625 0.625 0.875

Top 10 peaks for 5° ≤ 2θ ≤ 70°, by angle:
27.0°, d = 3.301 Å, rel. 60
33.1°, d = 2.707 Å, rel. 21
35.9°, d = 2.500 Å, rel. 78
37.8°, d = 2.380 Å, rel. 77
38.3°, d = 2.349 Å, rel. 90
42.8°, d = 2.115 Å, rel. 100
55.5°, d = 1.656 Å, rel. 22
62.6°, d = 1.484 Å, rel. 20
65.8°, d = 1.419 Å, rel. 31
69.5°, d = 1.353 Å, rel. 24



Sc2B2Rh5Au: calculated powder X-ray diffraction pattern (Cu Kα, 1.54184 Å), based on a crystal structure in Alexandria, relaxed with PBE.
Peak positions follow from Bragg's law for the DFT cell and can differ from measured ones.

Structural model:
Cell lengths 9.430, 9.430, 3.157 Å; angles 90.00, 90.00, 90.00 degrees
Element x y z (fractional)
Sc 0.176 0.324 0.000
Sc 0.324 0.824 0.000
Sc 0.676 0.176 0.000
Sc 0.824 0.676 0.000
B 0.125 0.625 0.000
B 0.375 0.125 0.000
B 0.625 0.875 0.000
B 0.875 0.375 0.000
Rh 0.000 0.500 0.500
Rh 0.072 0.776 0.500
Rh 0.224 0.072 0.500
Rh 0.276 0.572 0.500
Rh 0.428 0.276 0.500
Rh 0.500 0.000 0.500
Rh 0.572 0.724 0.500
Rh 0.724 0.428 0.500
Rh 0.776 0.928 0.500
Rh 0.928 0.224 0.500
Au 0.000 0.000 0.000
Au 0.500 0.500 0.000

Top 10 peaks for 5° ≤ 2θ ≤ 70°, by angle:
13.3°, d = 6.668 Å, rel. 30
18.8°, d = 4.715 Å, rel. 31
31.4°, d = 2.853 Å, rel. 27
35.5°, d = 2.527 Å, rel. 30
38.2°, d = 2.357 Å, rel. 25
39.3°, d = 2.290 Å, rel. 78
41.7°, d = 2.168 Å, rel. 100
42.9°, d = 2.109 Å, rel. 55
45.0°, d = 2.014 Å, rel. 23
66.5°, d = 1.407 Å, rel. 20



Sm3BRh3Au2: calculated powder X-ray diffraction pattern (Cu Kα, 1.54184 Å), based on a crystal structure in Alexandria, relaxed with PBE.
Peak positions follow from Bragg's law for the DFT cell and can differ from measured ones.

Structural model:
Cell lengths 7.603, 7.603, 3.483 Å; angles 90.00, 90.00, 120.00 degrees
Element x y z (fractional)
Sm 0.000 0.364 0.000
Sm 0.364 0.000 0.000
Sm 0.636 0.636 0.000
B 0.000 0.000 0.000
Rh 0.000 0.791 0.500
Rh 0.209 0.209 0.500
Rh 0.791 0.000 0.500
Au 0.333 0.667 0.500
Au 0.667 0.333 0.500

Top 10 peaks for 5° ≤ 2θ ≤ 70°, by angle:
23.4°, d = 3.801 Å, rel. 16
34.9°, d = 2.568 Å, rel. 100
36.1°, d = 2.489 Å, rel. 34
37.6°, d = 2.392 Å, rel. 21
41.1°, d = 2.195 Å, rel. 31
44.8°, d = 2.025 Å, rel. 23
52.6°, d = 1.741 Å, rel. 12
55.0°, d = 1.668 Å, rel. 10
65.4°, d = 1.427 Å, rel. 12
68.8°, d = 1.364 Å, rel. 14



BTeRhAu: calculated powder X-ray diffraction pattern (Cu Kα, 1.54184 Å), based on a crystal structure in Alexandria, relaxed with PBE.
Peak positions follow from Bragg's law for the DFT cell and can differ from measured ones.

Structural model:
Cell lengths 6.095, 3.540, 6.562 Å; angles 90.00, 108.15, 90.00 degrees
Element x y z (fractional)
B 0.000 0.000 0.000
B 0.500 0.500 0.000
Te 0.473 0.000 0.429
Te 0.973 0.500 0.429
Rh 0.200 0.500 0.102
Rh 0.700 0.000 0.102
Au 0.259 0.000 0.786
Au 0.759 0.500 0.786

Top 10 peaks for 5° ≤ 2θ ≤ 70°, by angle:
14.2°, d = 6.235 Å, rel. 13
29.6°, d = 3.021 Å, rel. 32
29.7°, d = 3.009 Å, rel. 17
30.7°, d = 2.910 Å, rel. 18
35.1°, d = 2.559 Å, rel. 100
38.0°, d = 2.370 Å, rel. 61
38.1°, d = 2.361 Å, rel. 29
43.5°, d = 2.078 Å, rel. 25
51.6°, d = 1.770 Å, rel. 17
51.9°, d = 1.762 Å, rel. 33



Zn2B2Rh5Au: calculated powder X-ray diffraction pattern (Cu Kα, 1.54184 Å), based on a crystal structure in Alexandria, relaxed with PBE.
Peak positions follow from Bragg's law for the DFT cell and can differ from measured ones.

Structural model:
Cell lengths 9.649, 9.649, 2.893 Å; angles 90.00, 90.00, 90.00 degrees
Element x y z (fractional)
Zn 0.179 0.321 0.000
Zn 0.321 0.821 0.000
Zn 0.679 0.179 0.000
Zn 0.821 0.679 0.000
B 0.124 0.624 0.000
B 0.376 0.124 0.000
B 0.624 0.876 0.000
B 0.876 0.376 0.000
Rh 0.000 0.500 0.500
Rh 0.072 0.774 0.500
Rh 0.226 0.072 0.500
Rh 0.274 0.572 0.500
Rh 0.428 0.274 0.500
Rh 0.500 0.000 0.500
Rh 0.572 0.726 0.500
Rh 0.726 0.428 0.500
Rh 0.774 0.928 0.500
Rh 0.928 0.226 0.500
Au 0.000 0.000 0.000
Au 0.500 0.500 0.000

Top 10 peaks for 5° ≤ 2θ ≤ 70°, by angle:
13.0°, d = 6.823 Å, rel. 26
18.4°, d = 4.825 Å, rel. 21
33.7°, d = 2.663 Å, rel. 22
37.3°, d = 2.412 Å, rel. 27
37.4°, d = 2.403 Å, rel. 38
38.5°, d = 2.340 Å, rel. 50
40.9°, d = 2.206 Å, rel. 46
41.9°, d = 2.158 Å, rel. 62
43.1°, d = 2.099 Å, rel. 100
46.2°, d = 1.964 Å, rel. 24



Ta3BAu: calculated powder X-ray diffraction pattern (Cu Kα, 1.54184 Å), based on a crystal structure in Alexandria, relaxed with PBE.
Peak positions follow from Bragg's law for the DFT cell and can differ from measured ones.

Structural model:
Cell lengths 4.347, 4.347, 4.347 Å; angles 90.00, 90.00, 90.00 degrees
Element x y z (fractional)
Ta 0.000 0.000 0.500
Ta 0.000 0.500 0.000
Ta 0.500 0.000 0.000
B 0.000 0.000 0.000
Au 0.500 0.500 0.500

Top 3 peaks for 5° ≤ 2θ ≤ 70°, by angle:
35.8°, d = 2.510 Å, rel. 100
41.5°, d = 2.173 Å, rel. 52
60.2°, d = 1.537 Å, rel. 35



Ta5B2Au2: calculated powder X-ray diffraction pattern (Cu Kα, 1.54184 Å), based on a crystal structure in Alexandria, relaxed with PBE.
Peak positions follow from Bragg's law for the DFT cell and can differ from measured ones.

Structural model:
Cell lengths 7.819, 7.819, 6.248 Å; angles 90.00, 90.00, 46.69 degrees
Element x y z (fractional)
Ta 0.000 0.000 0.000
Ta 0.075 0.708 0.676
Ta 0.208 0.575 0.176
Ta 0.292 0.925 0.676
Ta 0.425 0.792 0.176
Ta 0.500 0.500 0.500
Ta 0.575 0.208 0.824
Ta 0.708 0.075 0.324
Ta 0.792 0.425 0.824
Ta 0.925 0.292 0.324
B 0.104 0.896 0.393
B 0.396 0.604 0.893
B 0.604 0.396 0.107
B 0.896 0.104 0.607
Au 0.228 0.228 0.000
Au 0.272 0.272 0.500
Au 0.728 0.728 0.500
Au 0.772 0.772 0.000

Top 10 peaks for 5° ≤ 2θ ≤ 70°, by angle:
32.2°, d = 2.776 Å, rel. 36
32.7°, d = 2.738 Å, rel. 51
37.4°, d = 2.406 Å, rel. 83
38.2°, d = 2.357 Å, rel. 89
38.4°, d = 2.346 Å, rel. 97
41.1°, d = 2.199 Å, rel. 100
45.3°, d = 2.001 Å, rel. 35
46.4°, d = 1.956 Å, rel. 26
46.7°, d = 1.943 Å, rel. 27
67.5°, d = 1.387 Å, rel. 21



Zr5B2Au: calculated powder X-ray diffraction pattern (Cu Kα, 1.54184 Å), based on a crystal structure in Alexandria, relaxed with PBE.
Peak positions follow from Bragg's law for the DFT cell and can differ from measured ones.

Structural model:
Cell lengths 8.068, 8.068, 8.068 Å; angles 131.79, 131.79, 70.57 degrees
Element x y z (fractional)
Zr 0.000 0.000 0.000
Zr 0.047 0.547 0.852
Zr 0.195 0.047 0.500
Zr 0.305 0.805 0.852
Zr 0.453 0.305 0.500
Zr 0.500 0.500 0.000
Zr 0.547 0.695 0.500
Zr 0.695 0.195 0.148
Zr 0.805 0.953 0.500
Zr 0.953 0.453 0.148
B 0.101 0.399 0.500
B 0.399 0.899 0.298
B 0.601 0.101 0.702
B 0.899 0.601 0.500
Au 0.250 0.250 0.000
Au 0.750 0.750 0.000

Top 10 peaks for 5° ≤ 2θ ≤ 70°, by angle:
19.0°, d = 4.660 Å, rel. 33
31.1°, d = 2.876 Å, rel. 31
33.3°, d = 2.689 Å, rel. 53
36.7°, d = 2.447 Å, rel. 29
38.7°, d = 2.330 Å, rel. 100
43.4°, d = 2.084 Å, rel. 42
58.1°, d = 1.586 Å, rel. 15
63.1°, d = 1.474 Å, rel. 18
66.6°, d = 1.405 Å, rel. 23
70.0°, d = 1.345 Å, rel. 14



Ba7Au5: calculated powder X-ray diffraction pattern (Cu Kα, 1.54184 Å), based on a crystal structure in Alexandria, relaxed with PBE.
Peak positions follow from Bragg's law for the DFT cell and can differ from measured ones.

Structural model:
Cell lengths 8.181, 8.181, 14.249 Å; angles 103.82, 103.82, 32.95 degrees
Element x y z (fractional)
Ba 0.000 0.000 0.000
Ba 0.154 0.154 0.548
Ba 0.241 0.241 0.857
Ba 0.461 0.461 0.716
Ba 0.539 0.539 0.284
Ba 0.759 0.759 0.143
Ba 0.846 0.846 0.452
Au 0.202 0.202 0.314
Au 0.383 0.383 0.076
Au 0.500 0.500 0.500
Au 0.617 0.617 0.924
Au 0.798 0.798 0.686

Top 10 peaks for 5° ≤ 2θ ≤ 70°, by angle:
19.4°, d = 4.572 Å, rel. 57
19.9°, d = 4.452 Å, rel. 65
25.8°, d = 3.459 Å, rel. 76
27.1°, d = 3.294 Å, rel. 100
27.9°, d = 3.198 Å, rel. 80
31.7°, d = 2.826 Å, rel. 44
34.1°, d = 2.632 Å, rel. 50
37.3°, d = 2.412 Å, rel. 41
38.5°, d = 2.338 Å, rel. 43
38.8°, d = 2.320 Å, rel. 63



Ba8Au5: calculated powder X-ray diffraction pattern (Cu Kα, 1.54184 Å), based on a crystal structure in Alexandria, relaxed with PBE.
Peak positions follow from Bragg's law for the DFT cell and can differ from measured ones.

Structural model:
Cell lengths 8.997, 8.997, 11.257 Å; angles 124.72, 124.72, 64.53 degrees
Element x y z (fractional)
Ba 0.031 0.031 0.327
Ba 0.034 0.542 0.835
Ba 0.458 0.966 0.165
Ba 0.465 0.465 0.665
Ba 0.535 0.535 0.335
Ba 0.542 0.034 0.835
Ba 0.966 0.458 0.165
Ba 0.969 0.969 0.673
Au 0.000 0.000 0.000
Au 0.251 0.749 0.500
Au 0.255 0.255 0.001
Au 0.745 0.745 0.999
Au 0.749 0.251 0.500

Top 10 peaks for 5° ≤ 2θ ≤ 70°, by angle:
11.6°, d = 7.608 Å, rel. 34
24.4°, d = 3.650 Å, rel. 100
31.9°, d = 2.808 Å, rel. 88
37.4°, d = 2.402 Å, rel. 60
41.7°, d = 2.167 Å, rel. 18
45.2°, d = 2.006 Å, rel. 19
49.9°, d = 1.826 Å, rel. 16
60.1°, d = 1.540 Å, rel. 16
62.3°, d = 1.490 Å, rel. 17
64.1°, d = 1.454 Å, rel. 19



Ba2Au: calculated powder X-ray diffraction pattern (Cu Kα, 1.54184 Å), based on a crystal structure in Alexandria, relaxed with PBE.
Peak positions follow from Bragg's law for the DFT cell and can differ from measured ones.

Structural model:
Cell lengths 15.386, 4.422, 9.938 Å; angles 90.00, 126.94, 90.00 degrees
Element x y z (fractional)
Ba 0.078 0.000 0.397
Ba 0.174 0.500 0.083
Ba 0.326 0.000 0.917
Ba 0.422 0.500 0.603
Ba 0.578 0.500 0.397
Ba 0.674 0.000 0.083
Ba 0.826 0.500 0.917
Ba 0.922 0.000 0.603
Au 0.121 0.500 0.698
Au 0.379 0.000 0.302
Au 0.621 0.000 0.698
Au 0.879 0.500 0.302

Top 10 peaks for 5° ≤ 2θ ≤ 70°, by angle:
11.8°, d = 7.519 Å, rel. 100
26.1°, d = 3.412 Å, rel. 39
26.7°, d = 3.341 Å, rel. 73
27.5°, d = 3.240 Å, rel. 49
28.3°, d = 3.157 Å, rel. 52
29.0°, d = 3.074 Å, rel. 29
29.7°, d = 3.006 Å, rel. 47
34.2°, d = 2.619 Å, rel. 57
37.6°, d = 2.394 Å, rel. 39
38.2°, d = 2.357 Å, rel. 32



Ba3Au4: calculated powder X-ray diffraction pattern (Cu Kα, 1.54184 Å), based on a crystal structure in Alexandria, relaxed with PBE.
Peak positions follow from Bragg's law for the DFT cell and can differ from measured ones.

Structural model:
Cell lengths 4.582, 16.415, 6.346 Å; angles 90.00, 111.06, 90.00 degrees
Element x y z (fractional)
Ba 0.055 0.000 0.110
Ba 0.328 0.154 0.656
Ba 0.328 0.846 0.655
Ba 0.672 0.346 0.345
Ba 0.672 0.654 0.344
Ba 0.945 0.500 0.890
Au 0.000 0.250 0.001
Au 0.000 0.750 0.999
Au 0.231 0.500 0.462
Au 0.388 0.648 0.776
Au 0.389 0.352 0.778
Au 0.611 0.852 0.222
Au 0.612 0.148 0.224
Au 0.769 0.000 0.538

Top 10 peaks for 5° ≤ 2θ ≤ 70°, by angle:
18.5°, d = 4.802 Å, rel. 21
29.9°, d = 2.991 Å, rel. 46
30.2°, d = 2.960 Å, rel. 100
30.7°, d = 2.914 Å, rel. 19
31.8°, d = 2.810 Å, rel. 22
32.7°, d = 2.736 Å, rel. 18
34.2°, d = 2.624 Å, rel. 63
37.5°, d = 2.401 Å, rel. 36
39.3°, d = 2.291 Å, rel. 36
55.4°, d = 1.657 Å, rel. 24



BaAu5: calculated powder X-ray diffraction pattern (Cu Kα, 1.54184 Å), based on a crystal structure in Alexandria, relaxed with PBE.
Peak positions follow from Bragg's law for the DFT cell and can differ from measured ones.

Structural model:
Cell lengths 8.463, 4.628, 7.396 Å; angles 90.00, 94.24, 90.00 degrees
Element x y z (fractional)
Ba 0.000 0.000 0.000
Ba 0.500 0.500 0.000
Au 0.000 0.000 0.500
Au 0.145 0.500 0.698
Au 0.181 0.500 0.307
Au 0.319 0.000 0.693
Au 0.355 0.000 0.302
Au 0.500 0.500 0.500
Au 0.645 0.000 0.698
Au 0.681 0.000 0.307
Au 0.819 0.500 0.693
Au 0.855 0.500 0.302

Top 10 peaks for 5° ≤ 2θ ≤ 70°, by angle:
12.0°, d = 7.375 Å, rel. 67
31.0°, d = 2.885 Å, rel. 29
32.2°, d = 2.779 Å, rel. 62
33.4°, d = 2.681 Å, rel. 61
36.6°, d = 2.458 Å, rel. 17
37.4°, d = 2.404 Å, rel. 100
38.9°, d = 2.314 Å, rel. 49
40.2°, d = 2.244 Å, rel. 23
50.6°, d = 1.805 Å, rel. 15
69.5°, d = 1.353 Å, rel. 17